Structure and computed XRD peak list of LaSm2Si4Au4 (DFT lattice parameters and positions (PBE); copper Kα).
No peak broadening, texture or thermal motion is included.

Most intense lines, 10 to 90 degrees two-theta, by angle:
| 2θ (°) | I (rel.) | hkl |
| --- | --- | --- |
| 27.3 | 164 | 1 0 5 |
| 32.5 | 249 | 1 0 7 |
| 32.8 | 1000 | 1 1 4 |
| 38.4 | 112 | 0 1 9 |
| 42.1 | 193 | 0 2 0 |
| 42.2 | 191 | 2 0 0 |
| 44.9 | 147 | 0 1 11 |
| 54.2 | 117 | 1 2 7 |
| 61.1 | 128 | 2 2 0 |
| 67.0 | 132 | 1 1 16 |
| 71.0 | 130 | 1 3 4 |
| 71.2 | 108 | 3 1 4 |

Structure:
Cell: 4.2807 4.2957 25.1958 Å, 90.00 90.00 90.00°
Space group Immm (No. 71)
Inequivalent atoms, fractional coordinates:
La  0.0000  0.0000  0.0000 x2
Sm  0.0000  0.5000  0.1488 x4
Si  0.0000  0.0000  0.4522 x4
Si  0.0000  0.5000  0.3080 x4
Au  0.0000  0.0000  0.2498 x4
Au  0.0000  0.5000  0.4043 x4